Record 1
Computed X-ray diffraction stick pattern
Compound: K2AcNpTe4
Radiation: a wavelength of 1.5418 Å
Structure: a GGA-PBE-relaxed structure
No peak broadening, texture or thermal motion is included.

Structure:
```
data_K2AcNpTe4
_cell_length_a 8.2048
_cell_length_b 4.7140
_cell_length_c 8.6631
_cell_angle_alpha 90.00
_cell_angle_beta 108.34
_cell_angle_gamma 90.00
_symmetry_space_group_name_H-M 'P 1 2/m 1'
_symmetry_Int_Tables_number 10
loop_
_symmetry_equiv_pos_as_xyz
'x,y,z'
'-x,-y,-z'
'-x,y,-z'
'x,-y,z'
loop_
_atom_site_label
_atom_site_fract_x
_atom_site_fract_y
_atom_site_fract_z
_atom_site_occupancy
K1 0.0000 0.0000 0.0000 1
K2 0.5000 0.5000 0.0000 1
Ac1 0.0000 0.5000 0.5000 1
Np1 0.5000 0.0000 0.5000 1
Te1 0.2523 0.0000 0.7208 1
Te2 0.2756 0.5000 0.2886 1
```

Most intense lines, 5° ≤ 2θ ≤ 70°, in order of rising 2θ:
10.8 deg, 8.223 Å, intensity 52, (0 0 1)
22.0 deg, 4.037 Å, intensity 16, (2 0 -1)
26.1 deg, 3.410 Å, intensity 100, (1 1 1)
33.6 deg, 2.670 Å, intensity 19, (1 1 2)
36.5 deg, 2.463 Å, intensity 37, (1 1 -3)
38.0 deg, 2.366 Å, intensity 25, (3 1 -1)
38.2 deg, 2.357 Å, intensity 13, (0 2 0)
46.2 deg, 1.967 Å, intensity 11, (1 1 -4)
46.8 deg, 1.940 Å, intensity 14, (2 2 -2)
61.8 deg, 1.502 Å, intensity 11, (5 1 -3)

---

Record 2
Computed X-ray diffraction stick pattern
Compound: Ca3AgBr8
Radiation: a wavelength of 1.5418 Å
Structure: a GGA-PBE-relaxed structure
No peak broadening, texture or thermal motion is included.

Structure:
```
data_Ca3AgBr8
_cell_length_a 17.4933
_cell_length_b 5.8122
_cell_length_c 9.4058
_cell_angle_alpha 90.00
_cell_angle_beta 108.79
_cell_angle_gamma 90.00
_symmetry_space_group_name_H-M 'C 1 m 1'
_symmetry_Int_Tables_number 8
loop_
_symmetry_equiv_pos_as_xyz
'x,y,z'
'x,-y,z'
'x+1/2,y+1/2,z'
'x+1/2,-y+1/2,z'
loop_
_atom_site_label
_atom_site_fract_x
_atom_site_fract_y
_atom_site_fract_z
_atom_site_occupancy
Ca1 0.0000 0.0000 0.0000 1
Ca2 0.0877 0.0000 0.6035 1
Ca3 0.2643 0.5000 0.5717 1
Ag1 0.1850 0.5000 0.9864 1
Br1 0.0026 0.0000 0.2962 1
Br2 0.0445 0.5000 0.0307 1
Br3 0.1060 0.5000 0.6242 1
Br4 0.1579 0.0000 0.9416 1
Br5 0.2461 0.0000 0.5740 1
Br6 0.2756 0.5000 0.2782 1
Br7 0.3170 0.5000 0.9066 1
Br8 0.4393 0.5000 0.6733 1
```

Most intense lines, 5° ≤ 2θ ≤ 70°, in order of rising 2θ:
9.9 deg, 8.904 Å, intensity 32, (0 0 1)
10.7 deg, 8.280 Å, intensity 40, (2 0 0)
16.2 deg, 5.484 Å, intensity 68, (1 1 0)
26.2 deg, 3.397 Å, intensity 27, (3 1 -2)
26.5 deg, 3.367 Å, intensity 25, (3 1 1)
30.1 deg, 2.968 Å, intensity 44, (0 0 3)
30.7 deg, 2.909 Å, intensity 100, (0 2 0)
32.2 deg, 2.781 Å, intensity 28, (6 0 -2)
39.3 deg, 2.293 Å, intensity 33, (4 0 -4)
43.6 deg, 2.076 Å, intensity 31, (0 2 3)